Entry 1:
The following is a calculated X-ray diffraction stick pattern of SmTm12Co5. It was derived from DFT lattice parameters and positions (PBE), using CuKα.
Lines closer than 0.1° are merged.

Most intense lines, 5° ≤ 2θ ≤ 70°, low angle first:
- d = 2.970 Å, 30.09 deg, I 34
- d = 2.948 Å, 30.32 deg, I 43
- d = 2.746 Å, 32.61 deg, I 100
- d = 2.590 Å, 34.63 deg, I 58
- d = 2.537 Å, 35.39 deg, I 58
- d = 2.503 Å, 35.87 deg, I 49

Crystal structure
```
data_SmTm12Co5
_space_group_name_H-M_alt 'P 1'
_space_group_IT_number 1
_space_group_name_Hall 'P 1'
_cell_length_a 8.2519
_cell_length_b 8.2519
_cell_length_c 8.2519
_cell_angle_alpha 111.26
_cell_angle_beta 111.07
_cell_angle_gamma 106.13
loop_
_atom_site_label
_atom_site_type_symbol
_atom_site_fract_x
_atom_site_fract_y
_atom_site_fract_z
Sm1 Sm 0.0000 0.0000 0.0000
Tm1 Tm 0.1033 0.2948 0.8085
Tm2 Tm 0.1863 0.4982 0.3119
Tm3 Tm 0.1863 0.8744 0.6881
Tm4 Tm 0.3180 0.2116 0.5296
Tm5 Tm 0.3180 0.7884 0.1065
Tm6 Tm 0.4862 0.2948 0.1915
Tm7 Tm 0.5138 0.7052 0.8085
Tm8 Tm 0.6820 0.2116 0.8935
Tm9 Tm 0.6820 0.7884 0.4704
Tm10 Tm 0.8137 0.1256 0.3119
Tm11 Tm 0.8137 0.5018 0.6881
Tm12 Tm 0.8967 0.7052 0.1915
Co1 Co 0.1255 0.5000 0.6255
Co2 Co 0.3876 0.8876 0.5000
Co3 Co 0.5000 0.5000 0.0000
Co4 Co 0.6124 0.1124 0.5000
Co5 Co 0.8745 0.5000 0.3745
```

---

Entry 2:
The following is a calculated X-ray diffraction stick pattern of Ho4ZnCuPd2. It was derived from DFT lattice parameters and positions (PBE), using CuKα.
Lines closer than 0.1° are merged.

Most intense lines, 5° ≤ 2θ ≤ 70°, low angle first:
- d = 3.500 Å, 25.45 deg, I 10
- d = 2.475 Å, 36.30 deg, I 100
- d = 2.021 Å, 44.85 deg, I 3
- d = 1.750 Å, 52.27 deg, I 17
- d = 1.565 Å, 59.01 deg, I 4
- d = 1.429 Å, 65.30 deg, I 35

Crystal structure
```
data_Ho4ZnCuPd2
_space_group_name_H-M_alt 'P 1'
_space_group_IT_number 1
_space_group_name_Hall 'P 1'
_cell_length_a 8.5686
_cell_length_b 8.5686
_cell_length_c 8.5686
_cell_angle_alpha 33.59
_cell_angle_beta 33.59
_cell_angle_gamma 33.59
loop_
_atom_site_label
_atom_site_type_symbol
_atom_site_fract_x
_atom_site_fract_y
_atom_site_fract_z
Ho1 Ho 0.1231 0.1231 0.1231
Ho2 Ho 0.3732 0.3732 0.3732
Ho3 Ho 0.6268 0.6268 0.6268
Ho4 Ho 0.8769 0.8769 0.8769
Zn1 Zn 0.5000 0.5000 0.5000
Cu1 Cu 0.0000 0.0000 0.0000
Pd1 Pd 0.2478 0.2478 0.2478
Pd2 Pd 0.7522 0.7522 0.7522
```

---

Entry 3:
The following is a calculated X-ray diffraction stick pattern of CeAg3. It was derived from DFT lattice parameters and positions (PBE), using CuKα.
Lines closer than 0.1° are merged.

Most intense lines, 5° ≤ 2θ ≤ 70°, low angle first:
- d = 2.787 Å, 32.12 deg, I 100
- d = 2.604 Å, 34.44 deg, I 88
- d = 2.479 Å, 36.23 deg, I 26
- d = 2.278 Å, 39.56 deg, I 45
- d = 2.252 Å, 40.04 deg, I 26
- d = 2.230 Å, 40.46 deg, I 27

Crystal structure
```
data_CeAg3
_space_group_name_H-M_alt 'P 1'
_space_group_IT_number 1
_space_group_name_Hall 'P 1'
_cell_length_a 5.7288
_cell_length_b 5.7288
_cell_length_c 7.4768
_cell_angle_alpha 90.00
_cell_angle_beta 90.00
_cell_angle_gamma 133.14
loop_
_atom_site_label
_atom_site_type_symbol
_atom_site_fract_x
_atom_site_fract_y
_atom_site_fract_z
Ce1 Ce 0.0797 0.9203 0.7500
Ce2 Ce 0.9203 0.0797 0.2500
Ag1 Ag 0.2122 0.7878 0.2500
Ag2 Ag 0.3716 0.6284 0.5564
Ag3 Ag 0.3716 0.6284 0.9436
Ag4 Ag 0.6284 0.3716 0.0564
Ag5 Ag 0.6284 0.3716 0.4436
Ag6 Ag 0.7878 0.2122 0.7500
```

---

Entry 4:
The following is a calculated X-ray diffraction stick pattern of Li8Ag3. It was derived from DFT lattice parameters and positions (PBE), using CuKα.
Lines closer than 0.1° are merged.

Most intense lines, 5° ≤ 2θ ≤ 70°, low angle first:
- d = 3.759 Å, 23.67 deg, I 100
- d = 3.295 Å, 27.06 deg, I 25
- d = 3.173 Å, 28.13 deg, I 21
- d = 2.347 Å, 38.35 deg, I 32
- d = 2.333 Å, 38.59 deg, I 40
- d = 2.187 Å, 41.28 deg, I 25

Crystal structure
```
data_Li8Ag3
_space_group_name_H-M_alt 'P 1'
_space_group_IT_number 1
_space_group_name_Hall 'P 1'
_cell_length_a 4.9045
_cell_length_b 4.9045
_cell_length_c 10.2468
_cell_angle_alpha 103.76
_cell_angle_beta 103.76
_cell_angle_gamma 50.46
loop_
_atom_site_label
_atom_site_type_symbol
_atom_site_fract_x
_atom_site_fract_y
_atom_site_fract_z
Li1 Li 0.0496 0.0496 0.3189
Li2 Li 0.1304 0.1304 0.9576
Li3 Li 0.2267 0.2267 0.5923
Li4 Li 0.3239 0.3239 0.2269
Li5 Li 0.6761 0.6761 0.7731
Li6 Li 0.7733 0.7733 0.4077
Li7 Li 0.8696 0.8696 0.0424
Li8 Li 0.9504 0.9504 0.6811
Ag1 Ag 0.4019 0.4019 0.8621
Ag2 Ag 0.5000 0.5000 0.5000
Ag3 Ag 0.5981 0.5981 0.1379
```

---

Entry 5:
The following is a calculated X-ray diffraction stick pattern of Li4CuHg. It was derived from DFT lattice parameters and positions (PBE), using CuKα.
Lines closer than 0.1° are merged.

Most intense lines, 5° ≤ 2θ ≤ 70°, low angle first:
- d = 4.441 Å, 19.99 deg, I 34
- d = 3.911 Å, 22.74 deg, I 51
- d = 3.882 Å, 22.91 deg, I 100
- d = 2.252 Å, 40.03 deg, I 30
- d = 2.221 Å, 40.63 deg, I 27
- d = 2.215 Å, 40.73 deg, I 53

Crystal structure
```
data_Li4CuHg
_space_group_name_H-M_alt 'P 1'
_space_group_IT_number 1
_space_group_name_Hall 'P 1'
_cell_length_a 5.2510
_cell_length_b 5.2510
_cell_length_c 5.2510
_cell_angle_alpha 129.60
_cell_angle_beta 118.17
_cell_angle_gamma 83.71
loop_
_atom_site_label
_atom_site_type_symbol
_atom_site_fract_x
_atom_site_fract_y
_atom_site_fract_z
Li1 Li 0.0840 0.8337 0.2504
Li2 Li 0.4167 0.1663 0.2504
Li3 Li 0.5833 0.8337 0.7496
Li4 Li 0.9160 0.1663 0.7496
Cu1 Cu 0.5000 0.5000 0.0000
Hg1 Hg 0.0000 0.5000 0.5000
```

---

Entry 6:
The following is a calculated X-ray diffraction stick pattern of RbZnH2Se2ClO6. It was derived from DFT lattice parameters and positions (PBE), using CuKα.
Lines closer than 0.1° are merged.

Most intense lines, 5° ≤ 2θ ≤ 70°, low angle first:
- d = 6.272 Å, 14.12 deg, I 34
- d = 4.479 Å, 19.82 deg, I 29
- d = 3.914 Å, 22.72 deg, I 100
- d = 3.061 Å, 29.17 deg, I 34
- d = 3.020 Å, 29.58 deg, I 63
- d = 2.505 Å, 35.85 deg, I 28

Crystal structure
```
data_RbZnH2Se2ClO6
_space_group_name_H-M_alt 'P 1'
_space_group_IT_number 1
_space_group_name_Hall 'P 1'
_cell_length_a 6.5660
_cell_length_b 6.2715
_cell_length_c 10.9129
_cell_angle_alpha 90.00
_cell_angle_beta 102.94
_cell_angle_gamma 90.00
loop_
_atom_site_label
_atom_site_type_symbol
_atom_site_fract_x
_atom_site_fract_y
_atom_site_fract_z
Rb1 Rb 0.0000 0.1584 0.2500
Rb2 Rb 0.0000 0.8416 0.7500
Zn1 Zn 0.5000 0.4339 0.7500
Zn2 Zn 0.5000 0.5661 0.2500
H1 H 0.0658 0.3445 0.5887
H2 H 0.0658 0.6555 0.0887
H3 H 0.9342 0.3445 0.9113
H4 H 0.9342 0.6555 0.4113
Se1 Se 0.2969 0.3197 0.9900
Se2 Se 0.2969 0.6803 0.4900
Se3 Se 0.7031 0.3197 0.5100
Se4 Se 0.7031 0.6803 0.0100
Cl1 Cl 0.5000 0.0669 0.7500
Cl2 Cl 0.5000 0.9331 0.2500
O1 O 0.0377 0.2216 0.9263
O2 O 0.0377 0.7784 0.4263
O3 O 0.2440 0.4606 0.1163
O4 O 0.2440 0.5394 0.6163
O5 O 0.3186 0.4835 0.3848
O6 O 0.3186 0.5165 0.8848
O7 O 0.6814 0.4835 0.1152
O8 O 0.6814 0.5165 0.6152
O9 O 0.7560 0.4606 0.3837
O10 O 0.7560 0.5394 0.8837
O11 O 0.9623 0.2216 0.5737
O12 O 0.9623 0.7784 0.0737
```

---

Which formula does entry 4 have? Li8Ag3